No. 1
This entry pairs a crystal structure of Dy3Y3Er2 with its simulated PXRD pattern. Radiation: Cu Kα. Structure: a cell relaxed with GGA-PBE.
Peak positions follow from Bragg's law for the DFT cell and can differ from measured ones.

Atomic structure:
a = 16.087 Å, b = 5.682 Å, c = 5.985 Å
α = 90.00°, β = 111.07°, γ = 90.00°
Space group C2/m (No. 12)
Symmetry-distinct sites (fractional):
1 Dy 0.000 0.000 0.000
2 Dy 0.132 0.000 0.690
3 Y 0.000 0.500 0.500
4 Y 0.133 0.500 0.077
5 Er 0.249 0.000 0.317

Largest 10 diffraction maxima, by angle, 2θ from 10° to 80°:
h k l	Position (°2θ)	d [Å]	I (rel.)
2 0 1	23.02	3.864	18.6
2 0 -2	29.86	2.992	42.8
0 2 0	31.49	2.841	60.6
3 1 1	32.11	2.787	100.0
5 1 -1	32.42	2.762	100.0
3 1 -2	34.47	2.602	32.1
2 2 -2	43.95	2.060	29.7
3 3 1	56.47	1.630	19.9
5 3 -1	56.66	1.625	20.2
8 2 0	59.00	1.566	18.8

---

No. 2
This entry pairs a crystal structure of Dy2Y2Er5 with its simulated PXRD pattern. Radiation: Cu Kα. Structure: a cell relaxed with GGA-PBE.
Peak positions follow from Bragg's law for the DFT cell and can differ from measured ones.

Atomic structure:
a = 16.292 Å, b = 5.728 Å, c = 6.302 Å
α = 90.00°, β = 105.60°, γ = 90.00°
Space group C2/m (No. 12)
Symmetry-distinct sites (fractional):
1 Dy 0.101 0.000 0.013
2 Y 0.062 0.500 0.289
3 Er 0.000 0.000 0.500
4 Er 0.180 0.500 0.858
5 Er 0.209 0.000 0.571

Largest 10 diffraction maxima, by angle, 2θ from 10° to 80°:
h k l	Position (°2θ)	d [Å]	I (rel.)
4 0 1	30.27	2.953	49.1
0 2 0	31.23	2.864	56.6
5 1 -1	32.39	2.764	100.0
1 1 -2	32.51	2.754	91.0
4 2 1	44.05	2.056	35.2
6 0 -3	48.95	1.861	15.2
9 1 0	55.06	1.668	15.3
5 3 -1	56.35	1.633	39.8
6 2 -3	59.21	1.560	17.2
4 4 1	73.53	1.288	14.1